Record 1
Theoretical PXRD pattern
Compound: Zn2In2GaPt5
Radiation: λ = 1.5418 Å (Cu Kα)
Structure: DFT lattice parameters and positions (PBE)
Lines closer than 0.1° are merged.

The 8 most intense peaks (10° ≤ 2θ ≤ 90°), by angle:
3.851 Å, intensity 12.9, hkl 2 2 0
3.444 Å, intensity 21.4, hkl 3 1 0
2.723 Å, intensity 30.7, hkl 4 0 0
2.435 Å, intensity 20.4, hkl 4 2 0
2.224 Å, intensity 100.0, hkl 3 1 1
1.926 Å, intensity 39.1, hkl 4 4 0
1.815 Å, intensity 14.7, hkl 6 0 0
1.284 Å, intensity 34.1, hkl 7 3 1

abc: 10.891 10.891 2.913
angles: 90.00 90.00 90.00
Fractional positions:
1 Zn 0.143 0.357 0.000
2 Zn 0.357 0.857 0.000
3 Zn 0.643 0.143 0.000
4 Zn 0.857 0.643 0.000
5 In 0.154 0.654 0.000
6 In 0.346 0.154 0.000
7 In 0.654 0.846 0.000
8 In 0.846 0.346 0.000
9 Ga 0.000 0.000 0.000
10 Ga 0.500 0.500 0.000
11 Pt 0.000 0.500 0.500
12 Pt 0.127 0.154 0.500
13 Pt 0.154 0.873 0.500
14 Pt 0.346 0.373 0.500
15 Pt 0.373 0.654 0.500
16 Pt 0.500 0.000 0.500
17 Pt 0.627 0.346 0.500
18 Pt 0.654 0.627 0.500
19 Pt 0.846 0.127 0.500
20 Pt 0.873 0.846 0.500


Record 2
Theoretical PXRD pattern
Compound: PuInGa4
Radiation: λ = 1.5418 Å (Cu Kα)
Structure: DFT lattice parameters and positions (PBE)
Lines closer than 0.1° are merged.

The 8 most intense peaks (10° ≤ 2θ ≤ 90°), by angle:
5.894 Å, intensity 13.3, hkl 0 2 0
3.120 Å, intensity 22.7, hkl 1 1 1
2.497 Å, intensity 100.0, hkl 1 3 1
2.309 Å, intensity 20.7, hkl 0 0 2
2.266 Å, intensity 19.6, hkl 2 0 0
1.617 Å, intensity 13.6, hkl 2 0 2
1.367 Å, intensity 14.8, hkl 1 3 3
1.349 Å, intensity 14.2, hkl 3 3 1

abc: 4.533 11.787 4.618
angles: 90.00 90.00 90.00
Fractional positions:
1 Pu 0.000 0.000 0.000
2 Pu 0.500 0.500 0.000
3 In 0.000 0.500 0.500
4 In 0.500 0.000 0.500
5 Ga 0.000 0.172 0.500
6 Ga 0.000 0.312 0.000
7 Ga 0.000 0.688 0.000
8 Ga 0.000 0.828 0.500
9 Ga 0.500 0.188 0.000
10 Ga 0.500 0.328 0.500
11 Ga 0.500 0.672 0.500
12 Ga 0.500 0.812 0.000


Record 3
Theoretical PXRD pattern
Compound: Pu2In5Ga
Radiation: λ = 1.5418 Å (Cu Kα)
Structure: DFT lattice parameters and positions (PBE)
Lines closer than 0.1° are merged.

The 8 most intense peaks (10° ≤ 2θ ≤ 90°), by angle:
4.609 Å, intensity 13.7, hkl 0 0 1
3.260 Å, intensity 11.9, hkl 0 4 0
2.662 Å, intensity 100.0, hkl 0 4 1
2.305 Å, intensity 49.6, hkl 0 0 2
1.630 Å, intensity 32.5, hkl 0 8 0
1.391 Å, intensity 23.9, hkl 2 8 1
1.388 Å, intensity 13.2, hkl 0 4 3
1.331 Å, intensity 10.6, hkl 0 8 2

abc: 6.528 13.044 4.603
angles: 90.00 90.00 90.00
Fractional positions:
1 Pu 0.231 0.119 0.000
2 Pu 0.269 0.619 0.000
3 Pu 0.731 0.381 0.000
4 Pu 0.769 0.881 0.000
5 In 0.000 0.500 0.500
6 In 0.018 0.752 0.500
7 In 0.236 0.373 0.000
8 In 0.264 0.873 0.000
9 In 0.482 0.252 0.500
10 In 0.500 0.000 0.500
11 In 0.518 0.748 0.500
12 In 0.736 0.127 0.000
13 In 0.764 0.627 0.000
14 In 0.982 0.248 0.500
15 Ga 0.000 0.000 0.500
16 Ga 0.500 0.500 0.500